# 1
Rb2TbCdBr6: theoretical powder diffraction line list (Cu Kα (λ = 1.5418 Å)), based on a DFT-relaxed cell (GGA-PBE, Alexandria).
Lines closer than 0.1° are merged.

Structural model:
Unit cell a=8.3727 b=11.6704 c=8.1451 alpha=90.00 beta=90.00 gamma=90.00
Sites, in units of the cell vectors:
Rb1 0.2500 0.0274 0.2355
Rb2 0.2500 0.4726 0.2355
Rb3 0.7500 0.5274 0.7645
Rb4 0.7500 0.9726 0.7645
Tb1 0.2500 0.2500 0.7467
Tb2 0.7500 0.7500 0.2533
Cd1 0.2500 0.7500 0.7495
Cd2 0.7500 0.2500 0.2505
Br1 0.0126 0.2500 0.9916
Br2 0.0191 0.2500 0.4965
Br3 0.2500 0.0091 0.7576
Br4 0.2500 0.4909 0.7576
Br5 0.4809 0.2500 0.4965
Br6 0.4874 0.2500 0.9916
Br7 0.5126 0.7500 0.0084
Br8 0.5191 0.7500 0.5035
Br9 0.7500 0.5091 0.2424
Br10 0.7500 0.9909 0.2424
Br11 0.9809 0.7500 0.5035
Br12 0.9874 0.7500 0.0084

Peak list (6 most intense, 2θ = 15–90°, sorted by position)
d = 5.837 Å, 15.18 deg, I = 46.4
d = 4.127 Å, 21.53 deg, I = 28.0
d = 3.402 Å, 26.20 deg, I = 17.1
d = 2.919 Å, 30.63 deg, I = 100.0
d = 2.610 Å, 34.36 deg, I = 18.9
d = 2.064 Å, 43.87 deg, I = 45.2

# 2
Rb2CdTeBr6: theoretical powder diffraction line list (Cu Kα (λ = 1.5418 Å)), based on a DFT-relaxed cell (GGA-PBE, Alexandria).
Lines closer than 0.1° are merged.

Structural model:
Unit cell a=8.3645 b=8.3645 c=8.3645 alpha=122.12 beta=122.12 gamma=86.36
Sites, in units of the cell vectors:
Rb1 0.2500 0.7500 0.5000
Rb2 0.7500 0.2500 0.5000
Cd1 0.0000 0.0000 0.0000
Te1 0.5000 0.5000 0.0000
Br1 0.2113 0.2113 0.0000
Br2 0.2592 0.2592 0.5184
Br3 0.2592 0.7408 0.0000
Br4 0.7408 0.2592 0.0000
Br5 0.7408 0.7408 0.4816
Br6 0.7887 0.7887 0.0000

Peak list (6 most intense, 2θ = 15–90°, sorted by position)
d = 4.174 Å, 21.29 deg, I = 46.2
d = 3.372 Å, 26.43 deg, I = 63.7
d = 3.050 Å, 29.28 deg, I = 50.9
d = 2.862 Å, 31.25 deg, I = 100.0
d = 2.087 Å, 43.36 deg, I = 67.3
d = 2.024 Å, 44.79 deg, I = 40.5

# 3
RbTlCdBr4: theoretical powder diffraction line list (Cu Kα (λ = 1.5418 Å)), based on a DFT-relaxed cell (GGA-PBE, Alexandria).
Lines closer than 0.1° are merged.

Structural model:
Unit cell a=7.8406 b=7.8443 c=9.4986 alpha=90.00 beta=107.95 gamma=90.00
Sites, in units of the cell vectors:
Rb1 0.2455 0.2500 0.4418
Rb2 0.7545 0.7500 0.5582
Tl1 0.2811 0.2500 0.9484
Tl2 0.7189 0.7500 0.0516
Cd1 0.2636 0.7500 0.1876
Cd2 0.7364 0.2500 0.8124
Br1 0.0595 0.7500 0.9120
Br2 0.0710 0.7500 0.3700
Br3 0.4939 0.0065 0.2484
Br4 0.4939 0.4935 0.2484
Br5 0.5061 0.5065 0.7516
Br6 0.5061 0.9935 0.7516
Br7 0.9290 0.2500 0.6300
Br8 0.9405 0.2500 0.0880

Peak list (6 most intense, 2θ = 15–90°, sorted by position)
d = 3.922 Å, 22.67 deg, I = 86.1
d = 3.153 Å, 28.30 deg, I = 97.1
d = 3.139 Å, 28.44 deg, I = 100.0
d = 2.964 Å, 30.15 deg, I = 85.7
d = 2.373 Å, 37.91 deg, I = 72.4
d = 2.080 Å, 43.50 deg, I = 60.9

# 4
RbTmCd2Br8: theoretical powder diffraction line list (Cu Kα (λ = 1.5418 Å)), based on a DFT-relaxed cell (GGA-PBE, Alexandria).
Lines closer than 0.1° are merged.

Structural model:
Unit cell a=6.9445 b=6.9459 c=9.6661 alpha=77.94 beta=78.84 gamma=77.56
Sites, in units of the cell vectors:
Rb1 0.0000 0.0000 0.0000
Tm1 0.0000 0.0000 0.5000
Cd1 0.4462 0.4363 0.2232
Cd2 0.5538 0.5637 0.7768
Br1 0.1733 0.7300 0.7191
Br2 0.2483 0.8060 0.2890
Br3 0.2733 0.2457 0.4778
Br4 0.3460 0.3107 0.0111
Br5 0.6540 0.6893 0.9889
Br6 0.7267 0.7543 0.5222
Br7 0.7517 0.1940 0.7110
Br8 0.8267 0.2700 0.2809

Peak list (6 most intense, 2θ = 15–90°, sorted by position)
d = 5.895 Å, 15.03 deg, I = 65.7
d = 5.231 Å, 16.95 deg, I = 100.0
d = 4.350 Å, 20.42 deg, I = 76.2
d = 3.203 Å, 27.85 deg, I = 56.5
d = 3.163 Å, 28.22 deg, I = 56.0
d = 2.334 Å, 38.57 deg, I = 54.2

# 5
CdSn2RhBr: theoretical powder diffraction line list (Cu Kα (λ = 1.5418 Å)), based on a DFT-relaxed cell (GGA-PBE, Alexandria).
Lines closer than 0.1° are merged.

Structural model:
Unit cell a=5.0781 b=5.0781 c=5.3323 alpha=90.00 beta=90.00 gamma=90.00
Sites, in units of the cell vectors:
Cd1 0.0000 0.0000 0.0000
Sn1 0.0000 0.5000 0.5000
Sn2 0.5000 0.0000 0.5000
Rh1 0.0000 0.0000 0.5000
Br1 0.5000 0.5000 0.0000

Peak list (6 most intense, 2θ = 15–90°, sorted by position)
d = 5.078 Å, 17.46 deg, I = 32.5
d = 2.978 Å, 30.00 deg, I = 100.0
d = 2.666 Å, 33.61 deg, I = 49.6
d = 2.539 Å, 35.35 deg, I = 86.5
d = 1.839 Å, 49.58 deg, I = 66.0
d = 1.489 Å, 62.35 deg, I = 33.1

# 6
CdRuBr2: theoretical powder diffraction line list (Cu Kα (λ = 1.5418 Å)), based on a DFT-relaxed cell (GGA-PBE, Alexandria).
Lines closer than 0.1° are merged.

Structural model:
Unit cell a=7.6119 b=7.6119 c=7.6119 alpha=155.43 beta=143.59 gamma=44.42
Sites, in units of the cell vectors:
Cd1 0.0000 0.0000 0.0000
Ru1 0.5000 0.5000 0.0000
Br1 0.3583 0.8583 0.5000
Br2 0.6417 0.1417 0.5000

Peak list (6 most intense, 2θ = 15–90°, sorted by position)
d = 4.507 Å, 19.70 deg, I = 24.2
d = 3.342 Å, 26.67 deg, I = 32.8
d = 2.503 Å, 35.88 deg, I = 75.9
d = 2.378 Å, 37.83 deg, I = 37.5
d = 2.349 Å, 38.32 deg, I = 24.5
d = 2.132 Å, 42.40 deg, I = 100.0

# 7
CdSbS2Br: theoretical powder diffraction line list (Cu Kα (λ = 1.5418 Å)), based on a DFT-relaxed cell (GGA-PBE, Alexandria).
Lines closer than 0.1° are merged.

Structural model:
Unit cell a=6.8915 b=6.8915 c=9.8628 alpha=91.31 beta=91.31 gamma=33.50
Sites, in units of the cell vectors:
Cd1 0.0000 0.0000 0.0000
Cd2 0.0000 0.0000 0.5000
Sb1 0.2861 0.2861 0.6830
Sb2 0.7139 0.7139 0.3170
S1 0.0859 0.0859 0.2629
S2 0.3537 0.3537 0.4482
S3 0.6463 0.6463 0.5518
S4 0.9141 0.9141 0.7371
Br1 0.3663 0.3663 0.0752
Br2 0.6337 0.6337 0.9248

Peak list (6 most intense, 2θ = 15–90°, sorted by position)
d = 3.905 Å, 22.78 deg, I = 77.1
d = 3.022 Å, 29.56 deg, I = 39.2
d = 2.970 Å, 30.09 deg, I = 38.2
d = 2.948 Å, 30.32 deg, I = 100.0
d = 2.023 Å, 44.79 deg, I = 28.4
d = 1.992 Å, 45.53 deg, I = 33.8

# 8
Cd3Sb2Br2: theoretical powder diffraction line list (Cu Kα (λ = 1.5418 Å)), based on a DFT-relaxed cell (GGA-PBE, Alexandria).
Lines closer than 0.1° are merged.

Structural model:
Unit cell a=4.4234 b=6.9493 c=7.8656 alpha=94.85 beta=93.16 gamma=107.88
Sites, in units of the cell vectors:
Cd1 0.0000 0.0000 0.0000
Cd2 0.3239 0.5449 0.7268
Cd3 0.6761 0.4551 0.2732
Sb1 0.3902 0.7393 0.0578
Sb2 0.6098 0.2607 0.9422
Br1 0.1230 0.2667 0.4472
Br2 0.8770 0.7333 0.5528

Peak list (6 most intense, 2θ = 15–90°, sorted by position)
d = 3.834 Å, 23.20 deg, I = 25.8
d = 3.210 Å, 27.79 deg, I = 77.4
d = 3.019 Å, 29.59 deg, I = 77.7
d = 2.921 Å, 30.61 deg, I = 100.0
d = 2.208 Å, 40.86 deg, I = 38.9
d = 2.130 Å, 42.43 deg, I = 47.1

# 9
CdSbBr: theoretical powder diffraction line list (Cu Kα (λ = 1.5418 Å)), based on a DFT-relaxed cell (GGA-PBE, Alexandria).
Lines closer than 0.1° are merged.

Structural model:
Unit cell a=8.1771 b=8.1771 c=7.9996 alpha=114.75 beta=114.75 gamma=92.96
Sites, in units of the cell vectors:
Cd1 0.0585 0.9415 0.5000
Cd2 0.4441 0.8444 0.3259
Cd3 0.8444 0.4441 0.8259
Cd4 0.9415 0.0585 0.0000
Sb1 0.1609 0.2893 0.5310
Sb2 0.2295 0.4770 0.9592
Sb3 0.2893 0.1609 0.0310
Sb4 0.4770 0.2295 0.4592
Br1 0.2717 0.7039 0.4920
Br2 0.7039 0.2717 0.9920
Br3 0.7798 0.7827 0.0393
Br4 0.7827 0.7798 0.5393

Peak list (6 most intense, 2θ = 15–90°, sorted by position)
d = 4.067 Å, 21.85 deg, I = 100.0
d = 3.898 Å, 22.81 deg, I = 55.9
d = 3.617 Å, 24.61 deg, I = 74.6
d = 3.176 Å, 28.10 deg, I = 76.6
d = 2.797 Å, 31.99 deg, I = 78.7
d = 2.700 Å, 33.17 deg, I = 49.8

# 10
CdSb2Se3Br2: theoretical powder diffraction line list (Cu Kα (λ = 1.5418 Å)), based on a DFT-relaxed cell (GGA-PBE, Alexandria).
Lines closer than 0.1° are merged.

Structural model:
Unit cell a=11.1164 b=11.1164 c=12.7330 alpha=120.68 beta=120.68 gamma=21.19
Sites, in units of the cell vectors:
Cd1 0.1513 0.1513 0.4511
Cd2 0.8487 0.8487 0.5489
Sb1 0.2074 0.2074 0.0886
Sb2 0.4531 0.4531 0.2161
Sb3 0.5469 0.5469 0.7839
Sb4 0.7926 0.7926 0.9114
Se1 0.0361 0.0361 0.2148
Se2 0.1778 0.1778 0.8619
Se3 0.3959 0.3959 0.9752
Se4 0.6041 0.6041 0.0248
Se5 0.8222 0.8222 0.1381
Se6 0.9639 0.9639 0.7852
Br1 0.2900 0.2900 0.6483
Br2 0.3956 0.3956 0.4611
Br3 0.6044 0.6044 0.5389
Br4 0.7100 0.7100 0.3517

Peak list (6 most intense, 2θ = 15–90°, sorted by position)
d = 3.076 Å, 29.03 deg, I = 28.8
d = 2.958 Å, 30.22 deg, I = 100.0
d = 2.881 Å, 31.04 deg, I = 19.1
d = 2.761 Å, 32.42 deg, I = 49.2
d = 2.043 Å, 44.33 deg, I = 29.0
d = 2.023 Å, 44.80 deg, I = 17.3

# 11
Cd2SeBr: theoretical powder diffraction line list (Cu Kα (λ = 1.5418 Å)), based on a DFT-relaxed cell (GGA-PBE, Alexandria).
Lines closer than 0.1° are merged.

Structural model:
Unit cell a=4.2110 b=4.2110 c=7.2551 alpha=106.39 beta=106.39 gamma=60.47
Sites, in units of the cell vectors:
Cd1 0.2366 0.2366 0.2169
Cd2 0.7634 0.7634 0.7831
Se1 0.5000 0.5000 0.0000
Br1 0.0000 0.0000 0.5000

Peak list (6 most intense, 2θ = 15–90°, sorted by position)
d = 2.990 Å, 29.88 deg, I = 100.0
d = 2.959 Å, 30.21 deg, I = 49.3
d = 2.121 Å, 42.64 deg, I = 19.5
d = 2.106 Å, 42.94 deg, I = 53.7
d = 2.101 Å, 43.06 deg, I = 31.9
d = 1.724 Å, 53.14 deg, I = 19.3

# 12
Cd3Sn5Br16: theoretical powder diffraction line list (Cu Kα (λ = 1.5418 Å)), based on a DFT-relaxed cell (GGA-PBE, Alexandria).
Lines closer than 0.1° are merged.

Structural model:
Unit cell a=8.5661 b=8.5661 c=13.6860 alpha=90.92 beta=90.92 gamma=59.16
Sites, in units of the cell vectors:
Cd1 0.0000 0.0000 0.0000
Cd2 0.1695 0.6668 0.4953
Cd3 0.6668 0.1695 0.4953
Sn1 0.1616 0.1616 0.2601
Sn2 0.4962 0.4962 0.7533
Sn3 0.5015 0.9973 0.9971
Sn4 0.6701 0.6701 0.4968
Sn5 0.9973 0.5015 0.9971
Br1 0.0009 0.5184 0.3796
Br2 0.1523 0.1523 0.8795
Br3 0.1542 0.6786 0.8864
Br4 0.3115 0.8490 0.1249
Br5 0.3213 0.3213 0.1333
Br6 0.3246 0.8109 0.6249
Br7 0.3429 0.3429 0.6117
Br8 0.4893 0.4893 0.3824
Br9 0.5184 0.0009 0.3796
Br10 0.6728 0.6728 0.8640
Br11 0.6786 0.1542 0.8864
Br12 0.8109 0.3246 0.6249
Br13 0.8425 0.8425 0.6086
Br14 0.8441 0.8441 0.1174
Br15 0.8490 0.3115 0.1249
Br16 0.9919 0.9919 0.3875

Peak list (6 most intense, 2θ = 15–90°, sorted by position)
d = 3.250 Å, 27.45 deg, I = 100.0
d = 3.227 Å, 27.64 deg, I = 70.9
d = 2.876 Å, 31.10 deg, I = 60.1
d = 2.853 Å, 31.35 deg, I = 91.5
d = 2.186 Å, 41.30 deg, I = 50.8
d = 2.141 Å, 42.21 deg, I = 97.9